Ca2SnWO6: theoretical powder X-ray diffraction pattern (λ = 1.5418 Å (Cu Kα)), based on a structure optimized by DFT (PBE+U).

Atomic structure:
a = 5.644 Å, b = 5.655 Å, c = 5.713 Å
α = 119.17°, β = 90.17°, γ = 119.60°
Space group P1 (No. 1)
One atom of each set of equivalent atoms:
Ca1 0.000 0.000 0.000
Ca2 0.496 0.998 0.495
Sn1 0.226 0.456 0.680
W1 0.724 0.454 0.177
O1 0.075 0.960 0.404
O2 0.372 0.944 0.897
O3 0.461 0.532 0.404
O4 0.573 0.531 0.906
O5 0.875 0.336 0.400
O6 0.949 0.334 0.903

Main lines, in order of rising 2θ (10 to 80 degrees two-theta):
2θ = 21.9°, I 51; 2θ = 22.1°, I 100; 2θ = 31.1°, I 92; 2θ = 31.3°, I 45; 2θ = 31.5°, I 42; 2θ = 31.7°, I 82; 2θ = 44.6°, I 25; 2θ = 45.1°, I 24; 2θ = 45.2°, I 23; 2θ = 56.1°, I 31